No. 1
The following is a calculated powder XRD pattern of Tb5SbPt2. It was derived from a crystal structure in the Materials Project, relaxed with PBE, using copper Kα.
Intensities are scaled so that the largest is 100.

Structural model:
abc: 8.797 8.797 8.797
angles: 127.39 127.39 77.61
Positions (direct):
Tb 0.000 0.000 0.000
Tb 0.020 0.520 0.817
Tb 0.203 0.020 0.500
Tb 0.297 0.797 0.817
Tb 0.480 0.297 0.500
Tb 0.500 0.500 0.000
Tb 0.520 0.703 0.500
Tb 0.703 0.203 0.183
Tb 0.797 0.980 0.500
Tb 0.980 0.480 0.183
Sb 0.250 0.250 0.000
Sb 0.750 0.750 0.000
Pt 0.137 0.363 0.500
Pt 0.363 0.863 0.226
Pt 0.637 0.137 0.774
Pt 0.863 0.637 0.500

Most intense lines, 2θ from 10° to 90°, by angle:
12.91°, d = 6.856 Å, rel. 21
30.71°, d = 2.911 Å, rel. 10
32.29°, d = 2.772 Å, rel. 100
34.85°, d = 2.574 Å, rel. 18
36.44°, d = 2.465 Å, rel. 50
41.91°, d = 2.156 Å, rel. 21
52.36°, d = 1.747 Å, rel. 9
53.46°, d = 1.714 Å, rel. 8
54.77°, d = 1.676 Å, rel. 8
66.43°, d = 1.407 Å, rel. 15
67.91°, d = 1.380 Å, rel. 16
82.11°, d = 1.174 Å, rel. 8



No. 2
The following is a calculated powder XRD pattern of TbSbPt. It was derived from a crystal structure in the Materials Project, relaxed with PBE, using copper Kα.
Intensities are scaled so that the largest is 100.

Structural model:
abc: 4.691 4.691 4.691
angles: 60.00 60.00 60.00
Positions (direct):
Tb 0.000 0.000 0.000
Sb 0.500 0.500 0.500
Pt 0.250 0.250 0.250

Most intense lines, 2θ from 10° to 90°, by angle:
23.22°, d = 3.830 Å, rel. 42
26.88°, d = 3.317 Å, rel. 5
38.38°, d = 2.345 Å, rel. 100
45.34°, d = 2.000 Å, rel. 22
47.48°, d = 1.915 Å, rel. 1
55.40°, d = 1.658 Å, rel. 17
60.87°, d = 1.522 Å, rel. 9
62.63°, d = 1.483 Å, rel. 1
69.40°, d = 1.354 Å, rel. 35
74.29°, d = 1.277 Å, rel. 7
82.20°, d = 1.173 Å, rel. 11
86.87°, d = 1.121 Å, rel. 7



No. 3
The following is a calculated powder XRD pattern of SbTePt. It was derived from a crystal structure in the Materials Project, relaxed with PBE, using copper Kα.
Intensities are scaled so that the largest is 100.

Structural model:
abc: 6.650 6.650 6.650
angles: 90.00 90.00 90.00
Positions (direct):
Sb 0.129 0.129 0.129
Sb 0.371 0.871 0.629
Sb 0.629 0.371 0.871
Sb 0.871 0.629 0.371
Te 0.127 0.373 0.627
Te 0.373 0.627 0.127
Te 0.627 0.127 0.373
Te 0.873 0.873 0.873
Pt 0.005 0.995 0.495
Pt 0.495 0.005 0.995
Pt 0.505 0.505 0.505
Pt 0.995 0.495 0.005

Most intense lines, 2θ from 10° to 90°, by angle:
23.17°, d = 3.839 Å, rel. 29
26.81°, d = 3.325 Å, rel. 43
30.05°, d = 2.974 Å, rel. 62
32.99°, d = 2.715 Å, rel. 46
38.28°, d = 2.351 Å, rel. 38
45.22°, d = 2.005 Å, rel. 100
47.35°, d = 1.920 Å, rel. 14
51.41°, d = 1.777 Å, rel. 26
62.46°, d = 1.487 Å, rel. 20
64.18°, d = 1.451 Å, rel. 14
74.08°, d = 1.280 Å, rel. 30
81.96°, d = 1.176 Å, rel. 21



No. 4
The following is a calculated powder XRD pattern of TmSbPt. It was derived from a crystal structure in the Materials Project, relaxed with PBE, using copper Kα.
Intensities are scaled so that the largest is 100.

Structural model:
abc: 4.641 4.641 4.641
angles: 60.00 60.00 60.00
Positions (direct):
Tm 0.000 0.000 0.000
Sb 0.500 0.500 0.500
Pt 0.750 0.750 0.750

Most intense lines, 2θ from 10° to 90°, by angle:
23.48°, d = 3.789 Å, rel. 41
27.18°, d = 3.281 Å, rel. 5
38.81°, d = 2.320 Å, rel. 100
45.86°, d = 1.979 Å, rel. 21
48.02°, d = 1.895 Å, rel. 1
56.05°, d = 1.641 Å, rel. 17
61.60°, d = 1.506 Å, rel. 9
63.38°, d = 1.468 Å, rel. 2
70.26°, d = 1.340 Å, rel. 35
75.23°, d = 1.263 Å, rel. 7
83.29°, d = 1.160 Å, rel. 11
88.04°, d = 1.109 Å, rel. 7



No. 5
The following is a calculated powder XRD pattern of Tm5SbPt2. It was derived from a crystal structure in the Materials Project, relaxed with PBE, using copper Kα.
Intensities are scaled so that the largest is 100.

Structural model:
abc: 8.707 8.707 8.707
angles: 128.02 128.02 76.59
Positions (direct):
Tm 0.000 0.000 0.000
Tm 0.020 0.520 0.817
Tm 0.203 0.020 0.500
Tm 0.297 0.797 0.817
Tm 0.480 0.297 0.500
Tm 0.500 0.500 0.000
Tm 0.520 0.703 0.500
Tm 0.703 0.203 0.183
Tm 0.797 0.980 0.500
Tm 0.980 0.480 0.183
Sb 0.250 0.250 0.000
Sb 0.750 0.750 0.000
Pt 0.138 0.362 0.500
Pt 0.362 0.862 0.224
Pt 0.638 0.138 0.776
Pt 0.862 0.638 0.500

Most intense lines, 2θ from 10° to 90°, by angle:
12.95°, d = 6.834 Å, rel. 21
30.98°, d = 2.887 Å, rel. 11
32.79°, d = 2.731 Å, rel. 100
35.26°, d = 2.545 Å, rel. 18
37.26°, d = 2.413 Å, rel. 49
39.58°, d = 2.277 Å, rel. 13
42.37°, d = 2.133 Å, rel. 21
53.44°, d = 1.715 Å, rel. 10
53.68°, d = 1.708 Å, rel. 15
67.13°, d = 1.394 Å, rel. 15
69.47°, d = 1.353 Å, rel. 16
82.65°, d = 1.168 Å, rel. 9



No. 6
The following is a calculated powder XRD pattern of Y5SbPt2. It was derived from a crystal structure in the Materials Project, relaxed with PBE, using copper Kα.
Intensities are scaled so that the largest is 100.

Structural model:
abc: 8.816 8.816 8.816
angles: 127.58 127.58 77.31
Positions (direct):
Y 0.000 0.000 0.000
Y 0.018 0.518 0.816
Y 0.203 0.018 0.500
Y 0.297 0.797 0.816
Y 0.482 0.297 0.500
Y 0.500 0.500 0.000
Y 0.518 0.703 0.500
Y 0.703 0.203 0.184
Y 0.797 0.982 0.500
Y 0.982 0.482 0.184
Sb 0.250 0.250 0.000
Sb 0.750 0.750 0.000
Pt 0.138 0.362 0.500
Pt 0.362 0.862 0.225
Pt 0.638 0.138 0.775
Pt 0.862 0.638 0.500

Most intense lines, 2θ from 10° to 90°, by angle:
12.86°, d = 6.884 Å, rel. 31
20.66°, d = 4.300 Å, rel. 15
32.27°, d = 2.774 Å, rel. 100
34.79°, d = 2.579 Å, rel. 12
36.49°, d = 2.463 Å, rel. 49
41.82°, d = 2.160 Å, rel. 25
45.28°, d = 2.003 Å, rel. 8
46.47°, d = 1.954 Å, rel. 8
53.22°, d = 1.721 Å, rel. 8
66.25°, d = 1.411 Å, rel. 14
67.96°, d = 1.379 Å, rel. 16
81.76°, d = 1.178 Å, rel. 8



No. 7
The following is a calculated powder XRD pattern of Zr3Sb4Pt3. It was derived from a crystal structure in the Materials Project, relaxed with PBE, using copper Kα.
Intensities are scaled so that the largest is 100.

Structural model:
abc: 8.219 8.219 8.219
angles: 109.47 109.47 109.47
Positions (direct):
Zr 0.125 0.750 0.875
Zr 0.250 0.625 0.375
Zr 0.375 0.250 0.625
Zr 0.625 0.375 0.250
Zr 0.750 0.875 0.125
Zr 0.875 0.125 0.750
Sb 0.000 0.315 0.500
Sb 0.000 0.815 0.500
Sb 0.185 0.185 0.185
Sb 0.315 0.500 0.000
Sb 0.500 0.000 0.315
Sb 0.500 0.000 0.815
Sb 0.685 0.685 0.685
Sb 0.815 0.500 0.000
Pt 0.125 0.875 0.250
Pt 0.250 0.125 0.875
Pt 0.375 0.625 0.750
Pt 0.625 0.750 0.375
Pt 0.750 0.375 0.625
Pt 0.875 0.250 0.125

Most intense lines, 2θ from 10° to 90°, by angle:
22.95°, d = 3.874 Å, rel. 35
26.57°, d = 3.355 Å, rel. 9
35.39°, d = 2.536 Å, rel. 100
42.60°, d = 2.122 Å, rel. 39
46.90°, d = 1.937 Å, rel. 13
48.94°, d = 1.861 Å, rel. 22
52.84°, d = 1.733 Å, rel. 17
61.83°, d = 1.501 Å, rel. 9
66.86°, d = 1.399 Å, rel. 11
68.50°, d = 1.370 Å, rel. 10
71.71°, d = 1.316 Å, rel. 8
73.30°, d = 1.291 Å, rel. 11



No. 8
The following is a calculated powder XRD pattern of ScPt3. It was derived from a crystal structure in the Materials Project, relaxed with PBE, using copper Kα.
Intensities are scaled so that the largest is 100.

Structural model:
abc: 4.009 4.009 4.009
angles: 90.00 90.00 90.00
Positions (direct):
Sc 0.000 0.000 0.000
Pt 0.000 0.500 0.500
Pt 0.500 0.000 0.500
Pt 0.500 0.500 0.000

Most intense lines, 2θ from 10° to 90°, by angle:
22.17°, d = 4.009 Å, rel. 17
31.56°, d = 2.835 Å, rel. 15
38.91°, d = 2.315 Å, rel. 100
45.23°, d = 2.005 Å, rel. 49
50.93°, d = 1.793 Å, rel. 8
56.20°, d = 1.637 Å, rel. 6
65.89°, d = 1.418 Å, rel. 32
70.46°, d = 1.336 Å, rel. 4
74.90°, d = 1.268 Å, rel. 3
79.24°, d = 1.209 Å, rel. 38
83.53°, d = 1.157 Å, rel. 11
87.78°, d = 1.112 Å, rel. 2



No. 9
The following is a calculated powder XRD pattern of ScSiPt. It was derived from a crystal structure in the Materials Project, relaxed with PBE, using copper Kα.
Intensities are scaled so that the largest is 100.

Structural model:
abc: 6.618 4.149 7.356
angles: 90.00 90.00 90.00
Positions (direct):
Sc 0.001 0.250 0.201
Sc 0.499 0.750 0.701
Sc 0.501 0.250 0.299
Sc 0.999 0.750 0.799
Si 0.193 0.250 0.594
Si 0.307 0.750 0.094
Si 0.693 0.250 0.906
Si 0.807 0.750 0.406
Pt 0.199 0.750 0.416
Pt 0.301 0.250 0.916
Pt 0.699 0.750 0.084
Pt 0.801 0.250 0.584

Most intense lines, 2θ from 10° to 90°, by angle:
24.64°, d = 3.614 Å, rel. 18
26.95°, d = 3.309 Å, rel. 26
27.75°, d = 3.215 Å, rel. 50
28.14°, d = 3.172 Å, rel. 100
35.32°, d = 2.541 Å, rel. 23
36.53°, d = 2.460 Å, rel. 20
36.83°, d = 2.440 Å, rel. 48
42.79°, d = 2.113 Å, rel. 31
42.84°, d = 2.111 Å, rel. 54
43.63°, d = 2.074 Å, rel. 30
51.34°, d = 1.780 Å, rel. 24
52.50°, d = 1.743 Å, rel. 18